This entry pairs a crystal structure of Na2VSbO4 with its simulated powder X-ray diffraction pattern. Radiation: Cu Kα X-rays. Structure: a cell relaxed with GGA+U.
Kinematic intensities with the Lorentz-polarization factor, no thermal factor.

Structure:
```
Na2VSbO4
1.0
4.7531 0.0000 0.0000
0.2596 5.0295 0.0000
2.3083 2.1190 4.6663
Na V Sb O
2 1 1 4
Cartesian
0.0000 0.0000 0.0000
2.5663 4.8031 2.4090
4.8656 2.0676 2.3582
2.4552 2.5458 0.1351
2.1604 2.1962 2.1982
4.6654 2.7428 4.2305
4.9837 5.2258 2.4223
4.4587 2.5447 0.4629
```

The 10 most intense peaks (5° ≤ 2θ ≤ 70°), low angle first:
19.38 deg, I = 61, hkl 0 1 0; 20.68 deg, I = 51, hkl 1 0 0; 20.82 deg, I = 100, hkl 0 1 1; 21.33 deg, I = 69, hkl 1 0 1; 30.37 deg, I = 69, hkl 1 1 0; 32.33 deg, I = 57, hkl 1 -1 1; 33.13 deg, I = 44, hkl 1 1 2; 35.84 deg, I = 91, hkl 0 2 1; 37.94 deg, I = 89, hkl 2 0 1; 38.59 deg, I = 77, hkl 0 0 2